The following is a computed powder XRD pattern of PaCuIrO5. It was derived from a crystal structure in Alexandria, relaxed with PBE, using a wavelength of 1.5418 Å.

Most intense lines, 5° ≤ 2θ ≤ 70°, sorted by position:
| 2theta | I/Imax |
| --- | --- |
| 23.4 | 35.5 |
| 28.6 | 100.0 |
| 29.7 | 75.4 |
| 32.3 | 89.1 |
| 33.6 | 38.7 |
| 36.5 | 41.8 |
| 46.5 | 30.9 |
| 47.8 | 42.0 |
| 54.4 | 30.3 |
| 62.3 | 32.0 |

Structural model:
Lattice parameters (Å, degrees): 5.654 5.654 6.809 99.78 99.78 112.21
Fractional positions:
Pa 0.132 0.868 0.750
Pa 0.868 0.132 0.250
Cu 0.181 0.819 0.250
Cu 0.819 0.181 0.750
Ir 0.500 0.500 0.000
Ir 0.500 0.500 0.500
O 0.122 0.227 0.973
O 0.164 0.527 0.366
O 0.227 0.122 0.473
O 0.391 0.609 0.750
O 0.473 0.836 0.134
O 0.527 0.164 0.866
O 0.609 0.391 0.250
O 0.773 0.878 0.527
O 0.836 0.473 0.634
O 0.878 0.773 0.027

---

The following is a computed powder XRD pattern of Tb2Ti3Ge4. It was derived from a crystal structure in Alexandria, relaxed with PBE, using a wavelength of 1.5418 Å.

Most intense lines, 5° ≤ 2θ ≤ 70°, sorted by position:
| 2theta | I/Imax |
| --- | --- |
| 23.3 | 28.0 |
| 34.4 | 100.0 |
| 34.7 | 95.5 |
| 35.7 | 17.6 |
| 36.6 | 18.1 |
| 39.8 | 27.4 |
| 40.1 | 23.6 |
| 40.4 | 56.9 |
| 57.6 | 17.9 |
| 57.8 | 16.8 |

Structural model:
Lattice parameters (Å, degrees): 7.051 13.489 7.178 90.00 90.00 90.00
Fractional positions:
Tb 0.003 0.095 0.173
Tb 0.003 0.405 0.173
Tb 0.497 0.595 0.673
Tb 0.497 0.905 0.673
Tb 0.503 0.095 0.327
Tb 0.503 0.405 0.327
Tb 0.997 0.595 0.827
Tb 0.997 0.905 0.827
Ti 0.159 0.628 0.332
Ti 0.159 0.872 0.332
Ti 0.167 0.250 0.509
Ti 0.333 0.750 0.009
Ti 0.341 0.128 0.832
Ti 0.341 0.372 0.832
Ti 0.659 0.628 0.168
Ti 0.659 0.872 0.168
Ti 0.667 0.250 0.991
Ti 0.833 0.750 0.491
Ti 0.841 0.128 0.668
Ti 0.841 0.372 0.668
Ge 0.039 0.250 0.868
Ge 0.172 0.045 0.545
Ge 0.172 0.455 0.545
Ge 0.192 0.750 0.634
Ge 0.308 0.250 0.134
Ge 0.328 0.545 0.045
Ge 0.328 0.955 0.045
Ge 0.461 0.750 0.368
Ge 0.539 0.250 0.632
Ge 0.672 0.045 0.955
Ge 0.672 0.455 0.955
Ge 0.692 0.750 0.866
Ge 0.808 0.250 0.366
Ge 0.828 0.545 0.455
Ge 0.828 0.955 0.455
Ge 0.961 0.750 0.132

---

The following is a computed powder XRD pattern of TbHo3Co. It was derived from a crystal structure in Alexandria, relaxed with PBE, using a wavelength of 1.5418 Å.

Most intense lines, 5° ≤ 2θ ≤ 70°, sorted by position:
| 2theta | I/Imax |
| --- | --- |
| 26.5 | 16.4 |
| 30.6 | 60.3 |
| 30.8 | 34.0 |
| 31.0 | 100.0 |
| 34.3 | 14.1 |
| 34.5 | 42.1 |
| 34.9 | 33.7 |
| 40.9 | 17.1 |
| 54.7 | 17.0 |
| 56.9 | 15.0 |

Structural model:
Lattice parameters (Å, degrees): 7.094 7.094 8.101 124.62 124.62 70.99
Fractional positions:
Tb 0.048 0.048 0.340
Tb 0.952 0.952 0.660
Ho 0.048 0.453 0.206
Ho 0.452 0.452 0.747
Ho 0.453 0.048 0.206
Ho 0.547 0.952 0.794
Ho 0.548 0.548 0.253
Ho 0.952 0.547 0.794
Co 0.251 0.251 0.879
Co 0.749 0.749 0.121

---

The following is a computed powder XRD pattern of Ac6Mg15Tl8. It was derived from a crystal structure in Alexandria, relaxed with PBE, using a wavelength of 1.5418 Å.

Most intense lines, 5° ≤ 2θ ≤ 70°, sorted by position:
| 2theta | I/Imax |
| --- | --- |
| 19.8 | 17.9 |
| 20.6 | 31.0 |
| 26.1 | 59.2 |
| 31.2 | 55.9 |
| 34.0 | 100.0 |
| 50.1 | 25.8 |
| 53.2 | 16.8 |
| 60.9 | 19.7 |
| 62.0 | 15.9 |
| 64.7 | 16.1 |

Structural model:
Lattice parameters (Å, degrees): 10.537 10.537 10.537 60.00 60.00 60.00
Fractional positions:
Ac 0.207 0.207 0.793
Ac 0.207 0.793 0.207
Ac 0.207 0.793 0.793
Ac 0.793 0.207 0.207
Ac 0.793 0.207 0.793
Ac 0.793 0.793 0.207
Mg 0.000 0.000 0.500
Mg 0.000 0.500 0.000
Mg 0.000 0.500 0.500
Mg 0.171 0.171 0.171
Mg 0.171 0.171 0.487
Mg 0.171 0.487 0.171
Mg 0.487 0.171 0.171
Mg 0.500 0.000 0.000
Mg 0.500 0.000 0.500
Mg 0.500 0.500 0.000
Mg 0.500 0.500 0.500
Mg 0.513 0.829 0.829
Mg 0.829 0.513 0.829
Mg 0.829 0.829 0.513
Mg 0.829 0.829 0.829
Tl 0.122 0.626 0.626
Tl 0.374 0.374 0.374
Tl 0.374 0.374 0.878
Tl 0.374 0.878 0.374
Tl 0.626 0.122 0.626
Tl 0.626 0.626 0.122
Tl 0.626 0.626 0.626
Tl 0.878 0.374 0.374

---

The following is a computed powder XRD pattern of Cu2SnSe4. It was derived from a crystal structure in Alexandria, relaxed with PBE, using a wavelength of 1.5418 Å.

Most intense lines, 5° ≤ 2θ ≤ 70°, sorted by position:
| 2theta | I/Imax |
| --- | --- |
| 17.9 | 11.4 |
| 27.8 | 100.0 |
| 29.0 | 14.7 |
| 37.2 | 17.8 |
| 46.2 | 47.0 |
| 46.3 | 21.8 |
| 50.1 | 6.7 |
| 54.7 | 14.7 |
| 54.9 | 25.2 |
| 65.8 | 6.4 |

Structural model:
Lattice parameters (Å, degrees): 5.542 5.542 11.136 90.00 90.00 90.00
Fractional positions:
Cu 0.000 0.500 0.250
Cu 0.000 0.500 0.750
Cu 0.500 0.000 0.250
Cu 0.500 0.000 0.750
Sn 0.000 0.000 0.000
Sn 0.500 0.500 0.500
Se 0.222 0.222 0.627
Se 0.222 0.778 0.373
Se 0.278 0.278 0.127
Se 0.278 0.722 0.873
Se 0.722 0.278 0.873
Se 0.722 0.722 0.127
Se 0.778 0.222 0.373
Se 0.778 0.778 0.627

---

The following is a computed powder XRD pattern of TbPmTm5. It was derived from a crystal structure in Alexandria, relaxed with PBE, using a wavelength of 1.5418 Å.

Most intense lines, 5° ≤ 2θ ≤ 70°, sorted by position:
| 2theta | I/Imax |
| --- | --- |
| 30.8 | 90.3 |
| 31.0 | 77.6 |
| 31.2 | 84.9 |
| 31.6 | 100.0 |
| 33.5 | 46.5 |
| 35.9 | 38.6 |
| 37.5 | 24.7 |
| 55.7 | 30.3 |
| 57.4 | 25.9 |
| 57.7 | 32.0 |

Structural model:
Lattice parameters (Å, degrees): 6.679 6.679 12.001 106.53 106.53 60.77
Fractional positions:
Tb 0.000 0.500 0.000
Tb 0.500 0.000 0.500
Pm 0.025 0.975 0.750
Pm 0.975 0.025 0.250
Tm 0.138 0.420 0.749
Tm 0.199 0.645 0.501
Tm 0.355 0.801 0.999
Tm 0.412 0.588 0.250
Tm 0.420 0.138 0.249
Tm 0.580 0.862 0.751
Tm 0.588 0.412 0.750
Tm 0.645 0.199 0.001
Tm 0.801 0.355 0.499
Tm 0.862 0.580 0.251